The following is a simulated X-ray powder pattern of LiBiB2O5. It was derived from a GGA-PBE-relaxed structure, using Cu Kα, 1.54184 Å.
Kinematic intensities with the Lorentz-polarization factor, no thermal factor.

Cell and atoms:
```
data_LiBiB2O5
_symmetry_space_group_name_H-M 'P 1 21/c 1'
_symmetry_Int_Tables_number 14
_cell_length_a 7.5438
_cell_length_b 9.7328
_cell_length_c 6.6185
_cell_angle_alpha 90.00
_cell_angle_beta 112.00
_cell_angle_gamma 90.00
loop_
_symmetry_equiv_pos_as_xyz
'x,y,z'
'-x,-y,-z'
'-x,y+1/2,-z+1/2'
'x,-y+1/2,z+1/2'
loop_
_atom_site_label
_atom_site_fract_x
_atom_site_fract_y
_atom_site_fract_z
Li1 0.2497 0.1577 0.2492
Bi1 0.2501 0.0087 0.7498
B1 0.0945 0.6277 0.7688
B2 0.4051 0.6278 0.7309
O1 0.0834 0.1867 0.7997
O2 0.1185 0.0030 0.3572
O3 0.2498 0.6997 0.7500
O4 0.3809 0.0028 0.1421
O5 0.4170 0.1867 0.7003
```

Top 10 peaks for 15° ≤ 2θ ≤ 90°, low angle first:
| 2theta | I (rel.) | hkl |
| --- | --- | --- |
| 17.76 | 100 | 1 1 -1 |
| 18.23 | 51 | 0 2 0 |
| 24.38 | 35 | 1 1 1 |
| 25.47 | 24 | 2 0 0 |
| 29.10 | 34 | 0 0 2 |
| 31.54 | 61 | 1 3 -1 |
| 34.56 | 17 | 0 2 2 |
| 35.97 | 16 | 2 2 -2 |
| 36.93 | 36 | 3 1 -1 |
| 45.65 | 18 | 3 3 -1 |

***

The following is a simulated X-ray powder pattern of LiBi4B3O11. It was derived from a GGA-PBE-relaxed structure, using Cu Kα, 1.54184 Å.
Kinematic intensities with the Lorentz-polarization factor, no thermal factor.

Cell and atoms:
```
data_LiBi4B3O11
_symmetry_space_group_name_H-M 'C 1 2/c 1'
_symmetry_Int_Tables_number 15
_cell_length_a 9.1742
_cell_length_b 9.2569
_cell_length_c 12.6982
_cell_angle_alpha 90.00
_cell_angle_beta 99.68
_cell_angle_gamma 90.00
loop_
_symmetry_equiv_pos_as_xyz
'x,y,z'
'-x,-y,-z'
'-x,y,-z+1/2'
'x,-y,z+1/2'
'x+1/2,y+1/2,z'
'-x+1/2,-y+1/2,-z'
'-x+1/2,y+1/2,-z+1/2'
'x+1/2,-y+1/2,z+1/2'
loop_
_atom_site_label
_atom_site_fract_x
_atom_site_fract_y
_atom_site_fract_z
Li1 0.0000 0.0894 0.2500
Bi1 0.1131 0.3016 0.5792
Bi2 0.2384 0.1805 0.8278
B1 0.0000 0.4843 0.7500
B2 0.1590 0.0004 0.0777
O1 0.0000 0.3317 0.7500
O2 0.0533 0.4493 0.1663
O3 0.0910 0.0618 0.6569
O4 0.1702 0.1455 0.0588
O5 0.1996 0.1922 0.2968
O6 0.2109 0.1005 0.5101
```

Top 10 peaks for 15° ≤ 2θ ≤ 90°, low angle first:
| 2theta | I (rel.) | hkl |
| --- | --- | --- |
| 16.16 | 38 | 1 1 1 |
| 19.18 | 76 | 0 2 0 |
| 19.63 | 32 | 2 0 0 |
| 22.23 | 56 | 2 0 -2 |
| 26.78 | 100 | 1 1 3 |
| 29.34 | 47 | 2 2 1 |
| 30.87 | 55 | 3 1 -1 |
| 33.14 | 78 | 1 3 -2 |
| 40.97 | 41 | 3 1 3 |
| 45.15 | 39 | 2 4 1 |

***

The following is a simulated X-ray powder pattern of LiBiB2O5. It was derived from a GGA-PBE-relaxed structure, using Cu Kα, 1.54184 Å.
Kinematic intensities with the Lorentz-polarization factor, no thermal factor.

Cell and atoms:
```
data_LiBiB2O5
_symmetry_space_group_name_H-M 'C 1 2/c 1'
_symmetry_Int_Tables_number 15
_cell_length_a 11.3510
_cell_length_b 9.8158
_cell_length_c 10.3287
_cell_angle_alpha 90.00
_cell_angle_beta 119.10
_cell_angle_gamma 90.00
loop_
_symmetry_equiv_pos_as_xyz
'x,y,z'
'-x,-y,-z'
'-x,y,-z+1/2'
'x,-y,z+1/2'
'x+1/2,y+1/2,z'
'-x+1/2,-y+1/2,-z'
'-x+1/2,y+1/2,-z+1/2'
'x+1/2,-y+1/2,z+1/2'
loop_
_atom_site_label
_atom_site_fract_x
_atom_site_fract_y
_atom_site_fract_z
Li1 0.1813 0.1642 0.1687
Bi1 0.0000 0.1432 0.7500
Bi2 0.0000 0.4698 0.2500
B1 0.0785 0.3417 0.5198
B2 0.2115 0.0101 0.4266
O1 0.0434 0.3253 0.1094
O2 0.1095 0.3182 0.6609
O3 0.1463 0.0249 0.2765
O4 0.1729 0.0845 0.9941
O5 0.1750 0.4047 0.4836
```

Top 10 peaks for 15° ≤ 2θ ≤ 90°, low angle first:
| 2theta | I (rel.) | hkl |
| --- | --- | --- |
| 17.89 | 100 | 2 0 0 |
| 19.10 | 95 | 2 0 -2 |
| 19.67 | 69 | 0 0 2 |
| 20.60 | 63 | 0 2 1 |
| 24.00 | 92 | 2 2 -1 |
| 32.40 | 42 | 1 3 -2 |
| 32.69 | 35 | 2 0 2 |
| 36.93 | 45 | 3 3 -2 |
| 38.69 | 50 | 3 3 0 |
| 54.08 | 33 | 1 5 -3 |

***

The following is a simulated X-ray powder pattern of Li6Bi2B4SO16. It was derived from a GGA-PBE-relaxed structure, using Cu Kα, 1.54184 Å.
Kinematic intensities with the Lorentz-polarization factor, no thermal factor.

Cell and atoms:
Cell lengths 13.7492, 13.7492, 13.7492 Å; angles 90.00, 90.00, 90.00 degrees
Space group Fd-3 (No. 203, origin choice 2)
Inequivalent atoms, fractional coordinates:
Li 0.0854 0.3750 0.3750
Bi 0.0000 0.0000 0.5000
B 0.0219 0.0219 0.7281
S 0.1250 0.1250 0.1250
O 0.0233 0.0929 0.7997
O 0.0622 0.0622 0.0622

Top 10 peaks for 15° ≤ 2θ ≤ 90°, low angle first:
| 2theta | I (rel.) | hkl |
| --- | --- | --- |
| 21.43 | 100 | 3 1 1 |
| 22.40 | 56 | 2 2 2 |
| 25.92 | 45 | 4 0 0 |
| 33.88 | 36 | 5 1 1 |
| 36.99 | 44 | 4 4 0 |
| 38.75 | 39 | 5 1 3 |
| 43.67 | 46 | 6 2 2 |
| 51.02 | 26 | 5 5 3 |
| 58.10 | 19 | 5 5 5 |
| 58.52 | 22 | 6 6 2 |

***

The following is a simulated X-ray powder pattern of Mg2BiB2Rh5. It was derived from a GGA-PBE-relaxed structure, using Cu Kα, 1.54184 Å.
Kinematic intensities with the Lorentz-polarization factor, no thermal factor.

Cell and atoms:
```
data_Mg2BiB2Rh5
_symmetry_space_group_name_H-M 'P 4/m b m'
_symmetry_Int_Tables_number 127
_symmetry_space_group_name_Hall '-P 4 2ab'
_cell_length_a 9.6761
_cell_length_b 9.6761
_cell_length_c 3.0710
_cell_angle_alpha 90.00
_cell_angle_beta 90.00
_cell_angle_gamma 90.00
loop_
_atom_site_label
_atom_site_fract_x
_atom_site_fract_y
_atom_site_fract_z
Mg1 0.1743 0.3257 0.0000
Bi1 0.0000 0.0000 0.0000
B1 0.1206 0.6206 0.0000
Rh1 0.0000 0.5000 0.5000
Rh2 0.0731 0.7726 0.5000
```

Top 10 peaks for 15° ≤ 2θ ≤ 90°, low angle first:
| 2theta | I (rel.) | hkl |
| --- | --- | --- |
| 18.34 | 29 | 2 0 0 |
| 20.52 | 15 | 2 1 0 |
| 31.94 | 20 | 1 1 1 |
| 35.86 | 15 | 2 1 1 |
| 37.17 | 19 | 4 0 0 |
| 38.36 | 19 | 4 1 0 |
| 39.43 | 27 | 2 2 1 |
| 41.70 | 100 | 4 2 0 |
| 44.85 | 14 | 3 2 1 |
| 76.16 | 21 | 7 1 1 |

***

The following is a simulated X-ray powder pattern of Bi2BMo. It was derived from a GGA-PBE-relaxed structure, using Cu Kα, 1.54184 Å.
Kinematic intensities with the Lorentz-polarization factor, no thermal factor.

Cell and atoms:
```
data_Bi2BMo
_symmetry_space_group_name_H-M 'I -4 2 d'
_symmetry_Int_Tables_number 122
_symmetry_space_group_name_Hall 'I -4 2bw'
_cell_length_a 6.4127
_cell_length_b 6.4127
_cell_length_c 10.1668
_cell_angle_alpha 90.00
_cell_angle_beta 90.00
_cell_angle_gamma 90.00
loop_
_atom_site_label
_atom_site_fract_x
_atom_site_fract_y
_atom_site_fract_z
Bi1 0.1938 0.2500 0.1250
B1 0.0000 0.0000 0.0000
Mo1 0.0000 0.0000 0.5000
```

Top 10 peaks for 15° ≤ 2θ ≤ 90°, low angle first:
| 2theta | I (rel.) | hkl |
| --- | --- | --- |
| 26.34 | 100 | 1 1 2 |
| 27.82 | 18 | 2 0 0 |
| 29.82 | 8 | 1 0 3 |
| 32.44 | 27 | 2 1 1 |
| 39.76 | 19 | 2 2 0 |
| 43.25 | 10 | 3 0 1 |
| 45.54 | 32 | 2 0 4 |
| 48.32 | 24 | 3 1 2 |
| 58.12 | 13 | 1 1 6 |
| 58.62 | 11 | 3 2 3 |

***

The following is a simulated X-ray powder pattern of BiB3N3. It was derived from a GGA-PBE-relaxed structure, using Cu Kα, 1.54184 Å.
Kinematic intensities with the Lorentz-polarization factor, no thermal factor.

Cell and atoms:
```
data_BiB3N3
_symmetry_space_group_name_H-M 'P m -3 n'
_symmetry_Int_Tables_number 223
_symmetry_space_group_name_Hall '-P 4n 2 3'
_cell_length_a 4.9440
_cell_length_b 4.9440
_cell_length_c 4.9440
_cell_angle_alpha 90.00
_cell_angle_beta 90.00
_cell_angle_gamma 90.00
loop_
_atom_site_label
_atom_site_fract_x
_atom_site_fract_y
_atom_site_fract_z
Bi1 0.0000 0.0000 0.0000
B1 0.0000 0.2500 0.5000
N1 0.0000 0.5000 0.2500
```

Top 10 peaks for 15° ≤ 2θ ≤ 90°, low angle first:
| 2theta | I (rel.) | hkl |
| --- | --- | --- |
| 25.48 | 100 | 1 1 0 |
| 36.34 | 32 | 2 0 0 |
| 44.91 | 70 | 2 1 1 |
| 52.34 | 16 | 2 2 0 |
| 59.09 | 22 | 3 1 0 |
| 65.39 | 4 | 2 2 2 |
| 71.39 | 36 | 3 2 1 |
| 77.18 | 5 | 4 0 0 |
| 82.84 | 14 | 4 1 1 |
| 88.43 | 11 | 4 2 0 |

***

The following is a simulated X-ray powder pattern of Bi2BN2. It was derived from a GGA-PBE-relaxed structure, using Cu Kα, 1.54184 Å.
Kinematic intensities with the Lorentz-polarization factor, no thermal factor.

Cell and atoms:
```
data_Bi2BN2
_symmetry_space_group_name_H-M 'P 4/m b m'
_symmetry_Int_Tables_number 127
_symmetry_space_group_name_Hall '-P 4 2ab'
_cell_length_a 7.0977
_cell_length_b 7.0977
_cell_length_c 3.3942
_cell_angle_alpha 90.00
_cell_angle_beta 90.00
_cell_angle_gamma 90.00
loop_
_atom_site_label
_atom_site_fract_x
_atom_site_fract_y
_atom_site_fract_z
Bi1 0.1805 0.3195 0.0000
B1 0.0000 0.0000 0.0000
N1 0.1710 0.6710 0.5000
```

Top 10 peaks for 15° ≤ 2θ ≤ 90°, low angle first:
| 2theta | I (rel.) | hkl |
| --- | --- | --- |
| 25.09 | 60 | 2 0 0 |
| 26.26 | 56 | 0 0 1 |
| 28.11 | 87 | 2 1 0 |
| 36.64 | 37 | 2 0 1 |
| 38.84 | 100 | 2 1 1 |
| 53.21 | 27 | 4 1 0 |
| 60.28 | 45 | 4 1 1 |
| 61.83 | 18 | 3 3 1 |
| 62.01 | 21 | 2 1 2 |
| 79.27 | 18 | 4 1 2 |

***

The following is a simulated X-ray powder pattern of Na3BiB2O6. It was derived from a GGA-PBE-relaxed structure, using Cu Kα, 1.54184 Å.
Kinematic intensities with the Lorentz-polarization factor, no thermal factor.

Cell and atoms:
```
data_Na3BiB2O6
_symmetry_space_group_name_H-M 'P 1 21/c 1'
_symmetry_Int_Tables_number 14
_cell_length_a 9.5958
_cell_length_b 6.5354
_cell_length_c 10.6310
_cell_angle_alpha 90.00
_cell_angle_beta 113.96
_cell_angle_gamma 90.00
loop_
_symmetry_equiv_pos_as_xyz
'x,y,z'
'-x,-y,-z'
'-x,y+1/2,-z+1/2'
'x,-y+1/2,z+1/2'
loop_
_atom_site_label
_atom_site_fract_x
_atom_site_fract_y
_atom_site_fract_z
Na1 0.0706 0.2269 0.0157
Na2 0.2262 0.5949 0.1594
Na3 0.2980 0.5981 0.4781
Bi1 0.3130 0.0869 0.3436
B1 0.0189 0.5969 0.7713
B2 0.4792 0.2279 0.1990
O1 0.1004 0.5870 0.9131
O2 0.1022 0.5807 0.6875
O3 0.1388 0.1133 0.7914
O4 0.3229 0.1827 0.1376
O5 0.4388 0.7246 0.8784
O6 0.4521 0.7110 0.1601
```

Top 10 peaks for 15° ≤ 2θ ≤ 90°, low angle first:
| 2theta | I (rel.) | hkl |
| --- | --- | --- |
| 16.35 | 37 | 0 1 1 |
| 16.91 | 58 | 1 0 -2 |
| 17.17 | 100 | 1 1 -1 |
| 21.09 | 59 | 2 0 -2 |
| 24.29 | 33 | 1 0 2 |
| 28.94 | 30 | 2 1 1 |
| 30.81 | 40 | 0 1 3 |
| 31.86 | 32 | 1 2 1 |
| 33.18 | 47 | 2 2 -1 |
| 34.74 | 30 | 3 1 -3 |